[1]
The following is a theoretical PXRD pattern of La2Dy2Tl7. It was derived from DFT lattice parameters and positions (PBE), using Cu Kα X-rays.
Kinematic intensities with the Lorentz-polarization factor, no thermal factor.

Atomic structure:
```
data_La2Dy2Tl7
_symmetry_space_group_name_H-M 'C 1 2/m 1'
_symmetry_Int_Tables_number 12
_cell_length_a 11.866
_cell_length_b 11.324
_cell_length_c 5.129
_cell_angle_alpha 90.00
_cell_angle_beta 100.90
_cell_angle_gamma 90.00
loop_
_symmetry_equiv_pos_as_xyz
'x,y,z'
'-x,-y,-z'
'-x,y,-z'
'x,-y,z'
'x+1/2,y+1/2,z'
'-x+1/2,-y+1/2,-z'
'-x+1/2,y+1/2,-z'
'x+1/2,-y+1/2,z'
loop_
_atom_site_label
_atom_site_fract_x
_atom_site_fract_y
_atom_site_fract_z
La1 0.000 0.215 0.000
Dy1 0.240 0.500 0.801
Tl1 0.000 0.000 0.500
Tl2 0.067 0.500 0.271
Tl3 0.217 0.177 0.710
```

Peak list (10 most intense, 10° ≤ 2θ ≤ 90°, sorted by position)
2theta  intensity  index
24.8  22  1 3 0
29.7  19  1 3 -1
30.0  67  2 2 1
30.7  40  4 0 0
31.4  62  1 3 1
32.5  24  4 0 -1
35.5  100  3 3 -1
35.9  30  1 1 -2
36.1  21  2 0 -2
39.5  21  5 1 0

[2]
The following is a theoretical PXRD pattern of DyY9Tm2. It was derived from DFT lattice parameters and positions (PBE), using Cu Kα X-rays.
Kinematic intensities with the Lorentz-polarization factor, no thermal factor.

Atomic structure:
```
data_DyY9Tm2
_symmetry_space_group_name_H-M 'P 4/m m m'
_symmetry_Int_Tables_number 123
_symmetry_space_group_name_Hall '-P 4 2'
_cell_length_a 5.030
_cell_length_b 5.030
_cell_length_c 15.087
_cell_angle_alpha 90.00
_cell_angle_beta 90.00
_cell_angle_gamma 90.00
loop_
_atom_site_label
_atom_site_fract_x
_atom_site_fract_y
_atom_site_fract_z
Dy1 0.000 0.000 0.000
Y1 0.000 0.500 0.167
Y2 0.000 0.500 0.500
Y3 0.500 0.500 0.000
Y4 0.500 0.500 0.334
Tm1 0.000 0.000 0.334
```

Peak list (10 most intense, 10° ≤ 2θ ≤ 90°, sorted by position)
2theta  intensity  index
17.6  8  1 0 0
25.0  7  1 1 0
30.8  100  1 1 3
35.7  50  2 0 0
51.4  35  2 2 0
61.1  41  3 1 3
64.1  12  2 2 6
75.6  5  4 0 0
83.8  17  3 3 3
86.6  16  4 2 0

[3]
The following is a theoretical PXRD pattern of K2BaU3Se8. It was derived from DFT lattice parameters and positions (PBE), using Cu Kα X-rays.
Kinematic intensities with the Lorentz-polarization factor, no thermal factor.

Atomic structure:
```
data_K2BaU3Se8
_symmetry_space_group_name_H-M 'R 3 m'
_symmetry_Int_Tables_number 160
_symmetry_space_group_name_Hall 'R 3 -2"'
_cell_length_a 8.6489
_cell_length_b 8.6489
_cell_length_c 23.4406
_cell_angle_alpha 90.00
_cell_angle_beta 90.00
_cell_angle_gamma 120.00
loop_
_atom_site_label
_atom_site_fract_x
_atom_site_fract_y
_atom_site_fract_z
K1 0.0000 0.0000 0.0000
K2 0.0000 0.0000 0.3678
Ba1 0.0000 0.0000 0.6246
U1 0.1684 0.3369 0.8310
Se1 0.0000 0.0000 0.2295
Se2 0.0000 0.0000 0.7656
Se3 0.0304 0.5152 0.7683
Se4 0.1843 0.3685 0.5633
```

Peak list (10 most intense, 10° ≤ 2θ ≤ 90°, sorted by position)
2theta  intensity  index
11.3  100  0 0 3
12.4  22  1 0 1
19.2  26  1 0 4
23.5  35  1 1 3
24.1  48  0 2 1
28.3  84  0 2 4
36.0  56  0 2 7
39.0  46  2 0 8
41.8  55  2 2 0
43.4  23  2 2 3

[4]
The following is a theoretical PXRD pattern of PaRuO. It was derived from DFT lattice parameters and positions (PBE), using Cu Kα X-rays.
Kinematic intensities with the Lorentz-polarization factor, no thermal factor.

Atomic structure:
```
data_PaRuO
_symmetry_space_group_name_H-M 'P n m a'
_symmetry_Int_Tables_number 62
_cell_length_a 7.656
_cell_length_b 4.077
_cell_length_c 6.430
_cell_angle_alpha 90.00
_cell_angle_beta 90.00
_cell_angle_gamma 90.00
loop_
_symmetry_equiv_pos_as_xyz
'x,y,z'
'-x,-y,-z'
'-x+1/2,-y,z+1/2'
'x+1/2,y,-z+1/2'
'x+1/2,-y+1/2,-z+1/2'
'-x+1/2,y+1/2,z+1/2'
'-x,y+1/2,-z'
'x,-y+1/2,z'
loop_
_atom_site_label
_atom_site_fract_x
_atom_site_fract_y
_atom_site_fract_z
Pa1 0.184 0.250 0.114
Ru1 0.052 0.750 0.409
O1 0.110 0.750 0.932
```

Peak list (10 most intense, 10° ≤ 2θ ≤ 90°, sorted by position)
2theta  intensity  index
25.9  20  0 1 1
27.1  35  2 0 1
28.4  100  1 1 1
30.1  39  1 0 2
35.1  40  2 1 1
37.5  57  1 1 2
37.9  36  3 0 1
44.4  30  0 2 0
52.8  45  4 1 0
53.9  24  2 1 3

[5]
The following is a theoretical PXRD pattern of CsTl6Hg6. It was derived from DFT lattice parameters and positions (PBE), using Cu Kα X-rays.
Kinematic intensities with the Lorentz-polarization factor, no thermal factor.

Atomic structure:
```
data_CsTl6Hg6
_symmetry_space_group_name_H-M 'I m m m'
_symmetry_Int_Tables_number 71
_symmetry_space_group_name_Hall '-I 2 2'
_cell_length_a 6.976
_cell_length_b 10.633
_cell_length_c 11.312
_cell_angle_alpha 90.00
_cell_angle_beta 90.00
_cell_angle_gamma 90.00
loop_
_atom_site_label
_atom_site_fract_x
_atom_site_fract_y
_atom_site_fract_z
Cs1 0.000 0.000 0.000
Tl1 0.000 0.279 0.500
Tl2 0.250 0.250 0.250
Hg1 0.000 0.000 0.358
Hg2 0.000 0.355 0.000
Hg3 0.000 0.500 0.285
```

Peak list (10 most intense, 10° ≤ 2θ ≤ 90°, sorted by position)
2theta  intensity  index
30.1  47  2 0 2
30.7  43  2 2 0
31.6  33  0 0 4
31.8  51  1 2 3
32.5  45  1 3 2
33.7  30  0 4 0
34.6  100  2 2 2
35.3  25  1 1 4
36.0  28  0 2 4
37.1  25  1 4 1

[6]
The following is a theoretical PXRD pattern of SrPa2O7. It was derived from DFT lattice parameters and positions (PBE), using Cu Kα X-rays.
Kinematic intensities with the Lorentz-polarization factor, no thermal factor.

Atomic structure:
```
data_SrPa2O7
_symmetry_space_group_name_H-M 'C 1 2/m 1'
_symmetry_Int_Tables_number 12
_cell_length_a 6.762
_cell_length_b 3.939
_cell_length_c 10.669
_cell_angle_alpha 90.00
_cell_angle_beta 91.53
_cell_angle_gamma 90.00
loop_
_symmetry_equiv_pos_as_xyz
'x,y,z'
'-x,-y,-z'
'-x,y,-z'
'x,-y,z'
'x+1/2,y+1/2,z'
'-x+1/2,-y+1/2,-z'
'-x+1/2,y+1/2,-z'
'x+1/2,-y+1/2,z'
loop_
_atom_site_label
_atom_site_fract_x
_atom_site_fract_y
_atom_site_fract_z
Sr1 0.000 0.000 0.000
Pa1 0.151 0.500 0.699
O1 0.000 0.500 0.500
O2 0.010 0.000 0.257
O3 0.161 0.500 0.891
O4 0.191 0.500 0.375
```

Peak list (10 most intense, 10° ≤ 2θ ≤ 90°, sorted by position)
2theta  intensity  index
16.6  41  0 0 2
25.0  40  0 0 3
27.4  100  1 1 -1
27.9  41  2 0 1
30.9  19  2 0 -2
31.4  36  1 1 2
42.8  17  1 1 -4
46.1  16  0 2 0
46.4  27  3 1 0
54.8  18  2 2 1